Li6Zn2Pd3: theoretical powder diffractogram (Cu Kα X-rays), based on a structure optimized by DFT (GGA-PBE).
Neutral-atom scattering factors, no anomalous dispersion.

```
Li6Zn2Pd3
1.0
-2.2742 2.2742 9.2099
2.2742 -2.2742 9.2099
2.2742 2.2742 -9.2099
Li Zn Pd
6 2 3
direct
0.0962 0.5962 0.5000
0.2082 0.2082 0.0000
0.4038 0.9038 0.5000
0.5962 0.0962 0.5000
0.7918 0.7918 0.0000
0.9038 0.4038 0.5000
0.0634 0.0634 0.0000
0.9366 0.9366 0.0000
0.3471 0.3471 0.0000
0.5000 0.5000 0.0000
0.6529 0.6529 0.0000
```

Principal peaks in the range 2θ from 10° to 90°, sorted by position:
d/Å  Rel. int.
4.416  18
3.655  24
3.216  85
3.036  10
2.863  18
2.276  100
2.221  13
1.781  9
1.609  53
1.438  14
1.314  10
1.137  17